For TbSm3Bi3, a cell relaxed with PBE gives the calculated X-ray diffraction stick pattern in this record (λ = 1.5418 Å (Cu Kα)).
No peak broadening, texture or thermal motion is included.

Largest 8 diffraction maxima, in order of rising 2θ, 15° ≤ 2θ ≤ 90°:
hkl 3 0 1, 2θ = 29.59°, rel. 100
hkl 3 1 2, 2θ = 35.18°, rel. 65
hkl 4 2 0, 2θ = 42.35°, rel. 19
hkl 3 3 2, 2θ = 44.52°, rel. 14
hkl 4 3 1, 2θ = 48.64°, rel. 20
hkl 6 1 1, 2θ = 59.72°, rel. 30
hkl 5 4 1, 2θ = 63.12°, rel. 15
hkl 7 2 1, 2θ = 72.81°, rel. 20

Atomic structure:
Cell: 9.5455 9.5455 9.5455 Å, 90.00 90.00 90.00°
Space group P2_13 (No. 198)
Asymmetric unit:
1 Tb 0.0729 0.4271 0.5729 (multiplicity 4)
2 Sm 0.0697 0.5697 0.9303 (multiplicity 4)
3 Sm 0.1769 0.1769 0.1769 (multiplicity 4)
4 Sm 0.1779 0.8221 0.3221 (multiplicity 4)
5 Bi 0.0010 0.7468 0.6267 (multiplicity 12)

=====

For Tb2Sm5Bi5, a cell relaxed with PBE gives the calculated X-ray diffraction stick pattern in this record (λ = 1.5418 Å (Cu Kα)).
No peak broadening, texture or thermal motion is included.

Largest 8 diffraction maxima, in order of rising 2θ, 15° ≤ 2θ ≤ 90°:
hkl 2 0 2, 2θ = 22.79°, rel. 61
hkl 3 1 -1, 2θ = 26.76°, rel. 62
hkl 3 1 0, 2θ = 27.69°, rel. 59
hkl 3 1 -2, 2θ = 27.87°, rel. 100
hkl 2 0 3, 2θ = 29.43°, rel. 58
hkl 3 1 1, 2θ = 30.48°, rel. 69
hkl 3 1 -3, 2θ = 30.80°, rel. 88
hkl 0 2 0, 2θ = 40.03°, rel. 74

Atomic structure:
Cell: 14.8438 4.5055 12.9862 Å, 90.00 111.36 90.00°
Space group C2/m (No. 12)
Asymmetric unit:
1 Tb 0.0485 0.0000 0.2887 (multiplicity 4)
2 Sm 0.0000 0.5000 0.0000 (multiplicity 2)
3 Sm 0.1618 0.5000 0.5336 (multiplicity 4)
4 Sm 0.2178 0.5000 0.8396 (multiplicity 4)
5 Bi 0.0000 0.0000 0.5000 (multiplicity 2)
6 Bi 0.1182 0.0000 0.9313 (multiplicity 4)
7 Bi 0.1937 0.5000 0.2850 (multiplicity 4)

=====

For Sm6Bi3Te, a cell relaxed with PBE gives the calculated X-ray diffraction stick pattern in this record (λ = 1.5418 Å (Cu Kα)).
No peak broadening, texture or thermal motion is included.

Largest 8 diffraction maxima, in order of rising 2θ, 15° ≤ 2θ ≤ 90°:
hkl 2 1 -1, 2θ = 27.42°, rel. 64
hkl 1 2 1, 2θ = 29.47°, rel. 100
hkl 1 1 2, 2θ = 30.01°, rel. 43
hkl 1 1 -4, 2θ = 30.14°, rel. 41
hkl 2 2 -3, 2θ = 32.99°, rel. 41
hkl 0 2 3, 2θ = 33.06°, rel. 38
hkl 1 3 -1, 2θ = 33.64°, rel. 91
hkl 0 0 4, 2θ = 34.15°, rel. 45

Atomic structure:
Cell: 7.4583 8.5571 12.8417 Å, 90.00 125.14 90.00°
Space group P2_1/c (No. 14)
Asymmetric unit:
1 Sm 0.0505 0.0603 0.2524 (multiplicity 4)
2 Sm 0.2035 0.6678 0.0602 (multiplicity 4)
3 Sm 0.4210 0.1731 0.0617 (multiplicity 4)
4 Bi 0.0000 0.0000 0.0000 (multiplicity 2)
5 Bi 0.3175 0.1327 0.7513 (multiplicity 4)
6 Te 0.5000 0.0000 0.5000 (multiplicity 2)

=====

For Sm8Bi4Te3, a cell relaxed with PBE gives the calculated X-ray diffraction stick pattern in this record (λ = 1.5418 Å (Cu Kα)).
No peak broadening, texture or thermal motion is included.

Largest 8 diffraction maxima, in order of rising 2θ, 15° ≤ 2θ ≤ 90°:
hkl 0 4 0, 2θ = 28.23°, rel. 100
hkl 4 0 0, 2θ = 40.21°, rel. 13
hkl 0 4 2, 2θ = 40.35°, rel. 52
hkl 4 0 -4, 2θ = 40.50°, rel. 13
hkl 4 4 0, 2θ = 49.85°, rel. 14
hkl 4 4 -4, 2θ = 50.10°, rel. 14
hkl 0 8 2, 2θ = 66.07°, rel. 18
hkl 4 4 2, 2θ = 73.17°, rel. 9

Atomic structure:
Cell: 12.6324 12.6483 8.9090 Å, 90.00 134.75 90.00°
Space group C2/m (No. 12)
Asymmetric unit:
1 Sm 0.0000 0.2479 0.0000 (multiplicity 4)
2 Sm 0.0000 0.2495 0.5000 (multiplicity 4)
3 Sm 0.2460 0.0000 0.0009 (multiplicity 4)
4 Sm 0.2500 0.0000 0.4993 (multiplicity 4)
5 Bi 0.0000 0.0000 0.5000 (multiplicity 2)
6 Bi 0.0000 0.5000 0.0000 (multiplicity 2)
7 Bi 0.2500 0.2500 0.0000 (multiplicity 4)
8 Te 0.0000 0.5000 0.5000 (multiplicity 2)
9 Te 0.2500 0.2500 0.5000 (multiplicity 4)

=====

For Sm5BiTe4, a cell relaxed with PBE gives the calculated X-ray diffraction stick pattern in this record (λ = 1.5418 Å (Cu Kα)).
No peak broadening, texture or thermal motion is included.

Largest 8 diffraction maxima, in order of rising 2θ, 15° ≤ 2θ ≤ 90°:
hkl 2 0 2, 2θ = 28.25°, rel. 100
hkl 5 1 0, 2θ = 40.26°, rel. 39
hkl 0 2 0, 2θ = 40.51°, rel. 38
hkl 2 2 2, 2θ = 50.12°, rel. 21
hkl 4 0 4, 2θ = 58.43°, rel. 13
hkl 7 1 2, 2θ = 65.97°, rel. 18
hkl 1 1 6, 2θ = 66.33°, rel. 18
hkl 5 3 0, 2θ = 73.51°, rel. 13

Atomic structure:
Cell: 14.9022 4.4531 10.9226 Å, 90.00 119.58 90.00°
Space group C2/m (No. 12)
Asymmetric unit:
1 Sm 0.0000 0.0000 0.0000 (multiplicity 2)
2 Sm 0.1003 0.5000 0.3989 (multiplicity 4)
3 Sm 0.1996 0.0000 0.8024 (multiplicity 4)
4 Bi 0.0000 0.0000 0.5000 (multiplicity 2)
5 Te 0.0989 0.5000 0.8999 (multiplicity 4)
6 Te 0.2010 0.0000 0.2988 (multiplicity 4)

=====

For SmBiTe3, a cell relaxed with PBE gives the calculated X-ray diffraction stick pattern in this record (λ = 1.5418 Å (Cu Kα)).
No peak broadening, texture or thermal motion is included.

Largest 8 diffraction maxima, in order of rising 2θ, 15° ≤ 2θ ≤ 90°:
hkl 0 4 0, 2θ = 15.77°, rel. 34
hkl 1 3 1, 2θ = 25.97°, rel. 75
hkl 0 4 2, 2θ = 27.91°, rel. 32
hkl 1 5 1, 2θ = 30.52°, rel. 100
hkl 0 6 2, 2θ = 33.21°, rel. 51
hkl 1 7 1, 2θ = 36.39°, rel. 29
hkl 2 0 0, 2θ = 40.51°, rel. 94
hkl 1 9 1, 2θ = 43.14°, rel. 30

Atomic structure:
Cell: 4.4468 22.4802 7.7745 Å, 90.00 90.00 90.00°
Space group Cmc2_1 (No. 36)
Asymmetric unit:
1 Sm 0.0000 0.1646 0.0000 (multiplicity 4)
2 Bi 0.0000 0.3496 0.0032 (multiplicity 4)
3 Te 0.0000 0.0811 0.3295 (multiplicity 4)
4 Te 0.0000 0.2506 0.6719 (multiplicity 4)
5 Te 0.0000 0.4143 0.3412 (multiplicity 4)

=====

For Sm8TlBi3Te4, a cell relaxed with PBE gives the calculated X-ray diffraction stick pattern in this record (λ = 1.5418 Å (Cu Kα)).
No peak broadening, texture or thermal motion is included.

Largest 8 diffraction maxima, in order of rising 2θ, 15° ≤ 2θ ≤ 90°:
hkl 0 2 4, 2θ = 28.04°, rel. 100
hkl 2 2 0, 2θ = 40.00°, rel. 39
hkl 2 0 8, 2θ = 40.15°, rel. 38
hkl 4 0 4, 2θ = 49.56°, rel. 21
hkl 0 4 8, 2θ = 57.96°, rel. 13
hkl 2 4 4, 2θ = 65.49°, rel. 18
hkl 2 2 12, 2θ = 65.71°, rel. 18
hkl 4 2 8, 2θ = 72.75°, rel. 13

Atomic structure:
Cell: 9.0168 9.0168 21.9656 Å, 90.00 90.00 120.00°
Space group R-3m (No. 166, hexagonal axes)
Asymmetric unit:
1 Sm 0.0000 0.0000 0.2489 (multiplicity 6)
2 Sm 0.0057 0.5029 0.2482 (multiplicity 18)
3 Tl 0.0000 0.0000 0.5000 (multiplicity 3)
4 Bi 0.0000 0.5000 0.5000 (multiplicity 9)
5 Te 0.0000 0.0000 0.0000 (multiplicity 3)
6 Te 0.0000 0.5000 0.0000 (multiplicity 9)

=====

For Sm2Th2Bi5, a cell relaxed with PBE gives the calculated X-ray diffraction stick pattern in this record (λ = 1.5418 Å (Cu Kα)).
No peak broadening, texture or thermal motion is included.

Largest 8 diffraction maxima, in order of rising 2θ, 15° ≤ 2θ ≤ 90°:
hkl 3 1 2, 2θ = 28.59°, rel. 100
hkl 0 2 2, 2θ = 29.59°, rel. 46
hkl 5 1 1, 2θ = 31.30°, rel. 49
hkl 4 2 1, 2θ = 32.22°, rel. 79
hkl 6 0 0, 2θ = 33.14°, rel. 39
hkl 1 1 3, 2θ = 33.58°, rel. 70
hkl 1 3 1, 2θ = 33.71°, rel. 70
hkl 7 3 3, 2θ = 60.98°, rel. 42

Atomic structure:
Cell: 16.2176 8.5193 8.5606 Å, 90.00 90.00 90.00°
Space group Cmce (No. 64)
Asymmetric unit:
1 Sm 0.0000 0.1522 0.1549 (multiplicity 8)
2 Th 0.1932 0.0000 0.5000 (multiplicity 8)
3 Bi 0.0000 0.0000 0.5000 (multiplicity 4)
4 Bi 0.1403 0.1554 0.8465 (multiplicity 16)

=====

For Sm4ThBi6, a cell relaxed with PBE gives the calculated X-ray diffraction stick pattern in this record (λ = 1.5418 Å (Cu Kα)).
No peak broadening, texture or thermal motion is included.

Largest 8 diffraction maxima, in order of rising 2θ, 15° ≤ 2θ ≤ 90°:
hkl 1 3 1, 2θ = 26.48°, rel. 35
hkl 0 2 6, 2θ = 27.21°, rel. 64
hkl 1 3 2, 2θ = 27.44°, rel. 100
hkl 1 3 3, 2θ = 28.97°, rel. 46
hkl 0 6 4, 2θ = 38.77°, rel. 24
hkl 1 1 8, 2θ = 39.03°, rel. 74
hkl 2 0 0, 2θ = 39.62°, rel. 37
hkl 2 2 6, 2θ = 48.73°, rel. 28

Atomic structure:
Cell: 4.5493 15.4188 21.7214 Å, 90.00 90.00 90.00°
Space group Cmcm (No. 63)
Asymmetric unit:
1 Sm 0.0000 0.0932 0.1288 (multiplicity 8)
2 Sm 0.0000 0.3593 0.0400 (multiplicity 8)
3 Th 0.0000 0.1606 0.7500 (multiplicity 4)
4 Bi 0.0000 0.0000 0.0000 (multiplicity 4)
5 Bi 0.0000 0.1951 0.2500 (multiplicity 4)
6 Bi 0.0000 0.2648 0.5949 (multiplicity 8)
7 Bi 0.0000 0.4587 0.1749 (multiplicity 8)

=====

For SmTlBi, a cell relaxed with PBE gives the calculated X-ray diffraction stick pattern in this record (λ = 1.5418 Å (Cu Kα)).
No peak broadening, texture or thermal motion is included.

Largest 8 diffraction maxima, in order of rising 2θ, 15° ≤ 2θ ≤ 90°:
hkl 0 1 1, 2θ = 31.60°, rel. 99
hkl 1 1 0, 2θ = 32.78°, rel. 100
hkl 2 0 1, 2θ = 46.18°, rel. 35
hkl 1 0 2, 2θ = 55.52°, rel. 16
hkl 1 2 1, 2θ = 57.78°, rel. 37
hkl 3 0 0, 2θ = 58.52°, rel. 20
hkl 2 1 2, 2θ = 75.67°, rel. 13
hkl 3 1 1, 2θ = 77.61°, rel. 16

Atomic structure:
Cell: 5.4634 5.4634 3.5338 Å, 90.00 90.00 120.00°
Space group P3m1 (No. 156)
Asymmetric unit:
1 Sm 0.0000 0.0000 0.0000 (multiplicity 1)
2 Tl 0.3333 0.6667 0.3958 (multiplicity 1)
3 Bi 0.6667 0.3333 0.5824 (multiplicity 1)

=====

For Sm7Tl5Bi, a cell relaxed with PBE gives the calculated X-ray diffraction stick pattern in this record (λ = 1.5418 Å (Cu Kα)).
No peak broadening, texture or thermal motion is included.

Largest 8 diffraction maxima, in order of rising 2θ, 15° ≤ 2θ ≤ 90°:
hkl 1 3 0, 2θ = 27.25°, rel. 27
hkl 0 4 0, 2θ = 31.57°, rel. 64
hkl 2 0 2, 2θ = 31.91°, rel. 68
hkl 0 0 4, 2θ = 32.94°, rel. 26
hkl 2 2 2, 2θ = 35.72°, rel. 100
hkl 0 2 4, 2θ = 36.65°, rel. 34
hkl 4 0 0, 2θ = 56.21°, rel. 34
hkl 2 2 6, 2θ = 60.64°, rel. 33

Atomic structure:
Cell: 6.5478 11.3325 10.8771 Å, 90.00 90.00 90.00°
Space group Imm2 (No. 44)
Asymmetric unit:
1 Sm 0.0000 0.0000 0.0000 (multiplicity 2)
2 Sm 0.0000 0.0000 0.3834 (multiplicity 2)
3 Sm 0.0000 0.3235 0.6002 (multiplicity 4)
4 Sm 0.0000 0.3342 0.0802 (multiplicity 4)
5 Sm 0.0000 0.5000 0.3298 (multiplicity 2)
6 Tl 0.0000 0.5000 0.8299 (multiplicity 2)
7 Tl 0.2490 0.2573 0.3447 (multiplicity 8)
8 Bi 0.0000 0.0000 0.6795 (multiplicity 2)

=====

For SmTlBi, a cell relaxed with PBE gives the calculated X-ray diffraction stick pattern in this record (λ = 1.5418 Å (Cu Kα)).
No peak broadening, texture or thermal motion is included.

Largest 8 diffraction maxima, in order of rising 2θ, 15° ≤ 2θ ≤ 90°:
hkl 1 1 2, 2θ = 28.25°, rel. 77
hkl 0 0 6, 2θ = 34.36°, rel. 27
hkl 1 1 4, 2θ = 34.64°, rel. 100
hkl 2 0 0, 2θ = 36.82°, rel. 58
hkl 2 0 6, 2θ = 51.24°, rel. 35
hkl 2 2 0, 2θ = 53.06°, rel. 21
hkl 3 1 4, 2θ = 64.93°, rel. 33
hkl 1 1 10, 2θ = 65.44°, rel. 19

Atomic structure:
Cell: 4.8818 4.8818 15.6618 Å, 90.00 90.00 90.00°
Space group I4/mmm (No. 139)
Asymmetric unit:
1 Sm 0.0000 0.0000 0.1419 (multiplicity 4)
2 Tl 0.0000 0.0000 0.3413 (multiplicity 4)
3 Bi 0.0000 0.5000 0.0000 (multiplicity 4)